Structure and computed powder diffractogram of La5As4S (a GGA-PBE-relaxed structure; Cu Kα X-rays).
No peak broadening, texture or thermal motion is included.

Most intense lines, 15 to 90 degrees two-theta, by angle:
| Position (°2θ) | I/Imax |
| --- | --- |
| 25.14 | 20.8 |
| 29.11 | 100.0 |
| 41.63 | 75.1 |
| 49.26 | 10.5 |
| 51.60 | 26.6 |
| 60.34 | 12.4 |
| 68.36 | 28.3 |
| 68.43 | 5.6 |
| 75.96 | 16.8 |
| 76.03 | 8.3 |

Crystal structure
```
data_La5As4S
_chemical_formula_sum 'La10 As8 S2'
_cell_length_a 4.343
_cell_length_b 6.135
_cell_length_c 21.674
_cell_angle_alpha 90.00
_cell_angle_beta 90.00
_cell_angle_gamma 90.00
_space_group_name_H-M_alt 'I m m m'
_space_group_IT_number 71
_space_group_name_Hall '-I 2 2'
loop_
_atom_site_label
_atom_site_fract_x
_atom_site_fract_y
_atom_site_fract_z
La1 0.000 0.000 0.000
La2 0.000 0.000 0.200
La3 0.000 0.000 0.400
As1 0.000 0.500 0.198
As2 0.000 0.500 0.401
S1 0.000 0.500 0.000
```